1.
For Pm2Zn3Ni5, DFT lattice parameters and positions (GGA-PBE) gives the calculated PXRD pattern in this record (Cu Ka).

Peak list (12 most intense, 15° ≤ 2θ ≤ 90°, sorted by position)
- hkl 1 2 1, 23.68°, I = 17
- hkl 0 4 0, 29.19°, I = 27
- hkl 2 4 0, 34.58°, I = 68
- hkl 3 2 1, 35.27°, I = 100
- hkl 4 0 0, 36.75°, I = 18
- hkl 2 0 2, 37.79°, I = 73
- hkl 4 1 1, 41.13°, I = 19
- hkl 0 4 2, 44.52°, I = 75
- hkl 4 3 1, 46.39°, I = 16
- hkl 5 2 1, 51.85°, I = 22
- hkl 3 6 1, 55.76°, I = 28
- hkl 3 2 3, 60.24°, I = 20

Crystal structure
```
data_Pm2Zn3Ni5
_cell_length_a 9.781
_cell_length_b 12.239
_cell_length_c 5.450
_cell_angle_alpha 90.00
_cell_angle_beta 90.00
_cell_angle_gamma 90.00
_symmetry_space_group_name_H-M 'I b a m'
_symmetry_Int_Tables_number 72
_symmetry_space_group_name_Hall '-I 2 2c'
loop_
_atom_site_label
_atom_site_type_symbol
_atom_site_fract_x
_atom_site_fract_y
_atom_site_fract_z
_atom_site_occupancy
Pm1 Pm 0.235 0.127 0.000 1
Zn1 Zn 0.000 0.500 0.250 1
Zn2 Zn 0.090 0.146 0.500 1
Ni1 Ni 0.000 0.000 0.250 1
Ni2 Ni 0.000 0.295 0.250 1
Ni3 Ni 0.165 0.388 0.000 1
```

=====

2.
For DyTlF, DFT lattice parameters and positions (GGA-PBE) gives the calculated PXRD pattern in this record (Cu Ka).

Peak list (12 most intense, 15° ≤ 2θ ≤ 90°, sorted by position)
- hkl 1 1 1, 15.29°, I = 59
- hkl 0 4 0, 24.80°, I = 27
- hkl 0 2 2, 26.31°, I = 37
- hkl 3 1 1, 27.29°, I = 30
- hkl 2 0 2, 28.17°, I = 93
- hkl 2 2 2, 30.85°, I = 70
- hkl 3 3 1, 32.58°, I = 93
- hkl 1 5 1, 34.28°, I = 100
- hkl 4 2 0, 34.40°, I = 50
- hkl 1 1 3, 36.52°, I = 30
- hkl 1 3 3, 40.75°, I = 37
- hkl 3 5 1, 41.38°, I = 24

Crystal structure
```
data_DyTlF
_cell_length_a 11.194
_cell_length_b 14.359
_cell_length_c 7.685
_cell_angle_alpha 90.00
_cell_angle_beta 90.00
_cell_angle_gamma 90.00
_symmetry_space_group_name_H-M 'F d d 2'
_symmetry_Int_Tables_number 43
_symmetry_space_group_name_Hall 'F 2 -2d'
loop_
_atom_site_label
_atom_site_type_symbol
_atom_site_fract_x
_atom_site_fract_y
_atom_site_fract_z
_atom_site_occupancy
Dy1 Dy 0.007 0.310 0.000 1
Tl1 Tl 0.069 0.402 0.391 1
F1 F 0.082 0.424 0.857 1
```